Calculated X-ray diffraction stick pattern of KZnCl3O2 for λ = 1.5418 Å (Cu Kα), from DFT lattice parameters and positions (PBE).
Kinematic intensities with the Lorentz-polarization factor, no thermal factor.

Atomic structure:
Unit cell a=6.4418 b=10.6318 c=12.3533 alpha=90.00 beta=103.92 gamma=90.00
Space group P2_1/c (No. 14)
One atom of each set of equivalent atoms:
K  0.1237  0.1475  0.3742 (multiplicity 4)
Zn  0.4740  0.1159  0.6693 (multiplicity 4)
Cl  0.1827  0.6184  0.7496 (multiplicity 4)
Cl  0.2570  0.2215  0.1347 (multiplicity 4)
Cl  0.3347  0.5647  0.0887 (multiplicity 4)
O  0.3255  0.5486  0.3968 (multiplicity 4)
O  0.3433  0.0597  0.8649 (multiplicity 4)

Main lines, low angle first (2θ from 10° to 90°):
(hkl)  2θ/deg  d [Å]  intensity
0 1 1  11.12  7.955  100
1 0 0  14.16  6.253  61
0 0 2  14.78  5.995  52
1 1 -2  19.73  4.499  58
1 2 -1  22.01  4.038  54
1 1 -3  24.83  3.586  66
0 2 3  27.93  3.195  65
1 3 0  28.99  3.080  67
1 1 -4  30.99  2.886  94
2 1 1  32.40  2.763  51